Simulated powder XRD pattern
Compound: Li2TiCo3O8
Radiation: Cu Kα, 1.54184 Å
Structure: a cell relaxed with PBE+U
Neutral-atom scattering factors, no anomalous dispersion.

Cell and atoms:
a b c (Å): 5.712 5.712 9.283
angles (deg): 90.16 90.16 119.85
Sites, in units of the cell vectors:
Li 0.002 0.998 0.500
Li 0.326 0.662 0.604
Li 0.662 0.326 0.104
Li 0.998 0.002 0.000
Ti 0.341 0.675 0.003
Ti 0.675 0.341 0.503
Co 0.168 0.828 0.283
Co 0.169 0.338 0.283
Co 0.338 0.169 0.783
Co 0.659 0.828 0.283
Co 0.828 0.168 0.783
Co 0.828 0.659 0.783
O 0.035 0.512 0.164
O 0.166 0.837 0.898
O 0.168 0.329 0.897
O 0.329 0.168 0.397
O 0.333 0.665 0.387
O 0.476 0.513 0.165
O 0.477 0.956 0.161
O 0.512 0.035 0.664
O 0.513 0.476 0.665
O 0.665 0.333 0.887
O 0.666 0.831 0.900
O 0.831 0.666 0.400
O 0.837 0.166 0.398
O 0.956 0.477 0.661
O 0.998 0.998 0.190
O 0.998 0.998 0.690

Main lines, sorted by position (10 to 90 degrees two-theta):
d = 4.642 Å, I 98
d = 4.368 Å, I 100
d = 2.627 Å, I 27
d = 2.432 Å, I 42
d = 2.394 Å, I 45
d = 2.388 Å, I 22
d = 2.181 Å, I 29
d = 1.939 Å, I 22
d = 1.930 Å, I 47
d = 1.428 Å, I 28